No. 1
Starting from the GGA-PBE geometry in OQMD, the X-ray diffraction stick pattern of NaZr3Bi5 was calculated for Cu Kα (weighted mean of Kα1 and Kα2).

Top 10 peaks for 2θ = 15–90°, sorted by position:
two_theta, I/Imax, (hkl)
16.8, 31, 1 0 0
19.5, 23, 0 0 2
25.9, 74, 1 0 2
29.4, 100, 1 1 0
29.5, 36, 0 0 3
35.5, 88, 1 1 2
39.6, 75, 2 0 2
42.1, 34, 1 1 3
50.0, 26, 2 1 2
60.9, 37, 2 2 0

Atomic structure:
Unit cell a=6.0832 b=6.0832 c=9.0714 alpha=90.00 beta=90.00 gamma=120.00
Space group P6/mmm (No. 191)
Unique sites:
Na (0.0000, 0.0000, 0.0000)
Zr (0.0000, 0.5000, 0.5000)
Bi (0.0000, 0.0000, 0.5000)
Bi (0.3333, 0.6667, 0.2115)

No. 2
Starting from the GGA-PBE geometry in OQMD, the X-ray diffraction stick pattern of NbBiPO was calculated for Cu Kα (weighted mean of Kα1 and Kα2).

Top 10 peaks for 2θ = 15–90°, sorted by position:
two_theta, I/Imax, (hkl)
26.4, 88, 1 1 0
26.8, 100, 0 2 1
31.7, 36, 1 1 1
35.1, 41, 0 0 2
36.5, 27, 1 2 1
41.3, 16, 0 4 0
43.4, 58, 1 3 1
44.4, 43, 1 1 2
57.4, 25, 2 2 1
70.1, 15, 1 5 2

Atomic structure:
Unit cell a=3.6678 b=8.7387 c=5.1195 alpha=90.00 beta=90.00 gamma=90.00
Space group Pmc2_1 (No. 26)
Unique sites:
Nb (0.0000, 0.1180, 0.0000)
Bi (0.5000, 0.4003, 0.5136)
P (0.0000, 0.1595, 0.4984)
O (0.5000, 0.1999, 0.9992)

No. 3
Starting from the GGA-PBE geometry in OQMD, the X-ray diffraction stick pattern of NbBiPbO5 was calculated for Cu Kα (weighted mean of Kα1 and Kα2).

Top 10 peaks for 2θ = 15–90°, sorted by position:
two_theta, I/Imax, (hkl)
26.8, 17, 0 0 2
27.1, 100, 3 1 0
29.3, 69, 1 1 -2
31.0, 38, 0 2 0
31.4, 16, 4 0 -2
31.5, 23, 3 1 -2
35.5, 17, 2 0 2
44.7, 21, 4 2 -2
47.9, 24, 2 2 2
52.8, 17, 3 3 0

Atomic structure:
Unit cell a=13.0507 b=5.7652 c=7.2321 alpha=90.00 beta=112.91 gamma=90.00
Space group C2/m (No. 12)
Unique sites:
Nb (0.1511, 0.0000, 0.1461)
Bi (0.0044, 0.5000, 0.7453)
Pb (0.1578, 0.0000, 0.6331)
O (0.0000, 0.2711, 0.5000)
O (0.0553, 0.0000, 0.8708)
O (0.1493, 0.2623, 0.3000)
O (0.2049, 0.5000, 0.8479)

No. 4
Starting from the GGA-PBE geometry in OQMD, the X-ray diffraction stick pattern of Nb3Bi2S6 was calculated for Cu Kα (weighted mean of Kα1 and Kα2).

Top 10 peaks for 2θ = 15–90°, sorted by position:
two_theta, I/Imax, (hkl)
17.7, 36, 1 0 0
20.3, 72, 0 0 4
20.5, 58, 1 0 2
27.1, 28, 1 0 4
31.0, 53, 1 1 0
31.4, 29, 1 1 1
32.7, 92, 1 1 2
44.2, 100, 1 1 6
55.1, 37, 3 0 0
59.3, 26, 3 0 4

Atomic structure:
Unit cell a=5.7765 b=5.7765 c=17.4832 alpha=90.00 beta=90.00 gamma=120.00
Space group P6_3/mcm (No. 193)
Unique sites:
Nb (0.0000, 0.3263, 0.2500)
Bi (0.3333, 0.6667, 0.0000)
S (0.0000, 0.0000, 0.1580)
S (0.3333, 0.6667, 0.1615)

No. 5
Starting from the GGA-PBE geometry in OQMD, the X-ray diffraction stick pattern of NbTlBi was calculated for Cu Kα (weighted mean of Kα1 and Kα2).

Top 10 peaks for 2θ = 15–90°, sorted by position:
two_theta, I/Imax, (hkl)
25.4, 75, 4 0 1
29.0, 64, 1 1 0
32.5, 68, 6 0 -1
34.3, 35, 1 1 1
36.2, 77, 0 0 2
36.7, 48, 3 1 1
41.1, 100, 5 1 -1
47.0, 37, 1 1 -2
50.7, 29, 9 1 0
71.5, 25, 0 2 2

Atomic structure:
Unit cell a=19.8401 b=3.1149 c=4.9661 alpha=90.00 beta=90.18 gamma=90.00
Space group Cm (No. 8)
Unique sites:
Nb (0.0000, 0.0000, 0.0000)
Nb (0.0961, 0.5000, 0.4968)
Tl (0.1428, 0.0000, 0.9990)
Tl (0.4533, 0.0000, 0.5019)
Bi (0.2363, 0.0000, 0.5043)
Bi (0.3597, 0.0000, 0.0054)

No. 6
Starting from the GGA-PBE geometry in OQMD, the X-ray diffraction stick pattern of Nd3Bi7 was calculated for Cu Kα (weighted mean of Kα1 and Kα2).

Top 10 peaks for 2θ = 15–90°, sorted by position:
two_theta, I/Imax, (hkl)
25.0, 21, 0 4 2
28.5, 97, 1 3 2
29.8, 21, 0 4 4
31.1, 100, 1 0 5
31.5, 33, 1 4 1
34.2, 57, 1 4 3
37.1, 38, 0 3 7
41.7, 39, 2 0 0
57.0, 22, 2 3 7
64.6, 29, 1 3 12

Atomic structure:
Unit cell a=4.3300 b=15.3578 c=19.2525 alpha=90.00 beta=90.00 gamma=90.00
Space group Immm (No. 71)
Unique sites:
Nd (0.0000, 0.0000, 0.1725)
Nd (0.0000, 0.1377, 0.3678)
Bi (0.0000, 0.0000, 0.0000)
Bi (0.0000, 0.0000, 0.5000)
Bi (0.0000, 0.2119, 0.1970)
Bi (0.0000, 0.3377, 0.0000)
Bi (0.0000, 0.3591, 0.4139)
Bi (0.0000, 0.5000, 0.1999)

No. 7
Starting from the GGA-PBE geometry in OQMD, the X-ray diffraction stick pattern of NdBiPO5 was calculated for Cu Kα (weighted mean of Kα1 and Kα2).

Top 10 peaks for 2θ = 15–90°, sorted by position:
two_theta, I/Imax, (hkl)
22.3, 33, 0 1 1
23.6, 49, 1 1 -1
25.8, 85, 1 0 1
27.0, 98, 1 0 -2
28.6, 100, 1 -2 0
31.6, 36, 1 -2 1
31.9, 35, 2 0 -1
35.0, 86, 0 2 -2
41.2, 37, 2 1 0
44.2, 31, -2 2 2

Atomic structure:
Unit cell a=5.7665 b=6.6349 c=6.8976 alpha=99.16 beta=108.62 gamma=102.93
Space group P-1 (No. 2)
Unique sites:
Nd (0.1553, 0.1090, 0.2983)
Bi (0.4091, 0.7015, 0.9748)
P (0.2352, 0.6744, 0.4163)
O (0.0501, 0.8006, 0.4522)
O (0.0936, 0.4562, 0.2590)
O (0.2134, 0.1015, 0.9714)
O (0.4136, 0.6498, 0.6281)
O (0.4176, 0.8204, 0.3326)

No. 8
Starting from the GGA-PBE geometry in OQMD, the X-ray diffraction stick pattern of Nd3PaBi5 was calculated for Cu Kα (weighted mean of Kα1 and Kα2).

Top 10 peaks for 2θ = 15–90°, sorted by position:
two_theta, I/Imax, (hkl)
30.7, 47, 2 1 1
31.1, 88, 3 0 0
33.0, 100, 1 1 2
40.2, 11, 3 1 1
46.0, 32, 2 2 2
48.1, 11, 3 2 1
50.8, 12, 2 1 3
56.6, 22, 4 1 2
61.6, 11, 5 1 1
66.3, 21, 3 0 4

Atomic structure:
Unit cell a=9.9485 b=9.9485 c=6.4688 alpha=90.00 beta=90.00 gamma=120.00
Space group P6_3/mcm (No. 193)
Unique sites:
Nd (0.0000, 0.3828, 0.2500)
Pa (0.0000, 0.0000, 0.0000)
Bi (0.0000, 0.2755, 0.7500)
Bi (0.3333, 0.6667, 0.0000)

No. 9
Starting from the GGA-PBE geometry in OQMD, the X-ray diffraction stick pattern of Pm4NdBi5 was calculated for Cu Kα (weighted mean of Kα1 and Kα2).

Top 10 peaks for 2θ = 15–90°, sorted by position:
two_theta, I/Imax, (hkl)
23.8, 5, 1 0 5
27.6, 100, 1 1 0
39.4, 79, 2 0 0
46.6, 3, 2 1 5
48.8, 29, 2 0 10
57.0, 14, 2 2 0
62.7, 1, 3 0 5
64.5, 38, 3 1 0
71.5, 28, 3 1 10
84.9, 9, 4 0 0

Atomic structure:
Unit cell a=4.5705 b=4.5705 c=32.3133 alpha=90.00 beta=90.00 gamma=90.00
Space group I4/mmm (No. 139)
Unique sites:
Pm (0.0000, 0.0000, 0.1001)
Pm (0.0000, 0.0000, 0.2998)
Nd (0.0000, 0.0000, 0.5000)
Bi (0.0000, 0.0000, 0.0000)
Bi (0.0000, 0.0000, 0.2000)
Bi (0.0000, 0.0000, 0.3996)

No. 10
Starting from the GGA-PBE geometry in OQMD, the X-ray diffraction stick pattern of Pr2NdBi3 was calculated for Cu Kα (weighted mean of Kα1 and Kα2).

Top 10 peaks for 2θ = 15–90°, sorted by position:
two_theta, I/Imax, (hkl)
27.4, 100, 1 0 2
39.0, 40, 0 1 4
39.2, 39, 1 1 0
48.1, 7, 0 0 6
48.4, 22, 0 2 2
56.4, 14, 2 0 4
63.7, 19, 1 1 6
64.0, 19, 2 1 2
70.5, 7, 1 0 8
70.8, 14, 1 2 4

Atomic structure:
Unit cell a=4.6015 b=4.6015 c=11.3422 alpha=90.00 beta=90.00 gamma=120.00
Space group P-3m1 (No. 164)
Unique sites:
Pr (0.3333, 0.6667, 0.3332)
Nd (0.0000, 0.0000, 0.0000)
Bi (0.0000, 0.0000, 0.5000)
Bi (0.3333, 0.6667, 0.8338)

No. 11
Starting from the GGA-PBE geometry in OQMD, the X-ray diffraction stick pattern of PrNdBi4Pt2 was calculated for Cu Kα (weighted mean of Kα1 and Kα2).

Top 10 peaks for 2θ = 15–90°, sorted by position:
two_theta, I/Imax, (hkl)
26.4, 7, 1 0 2
27.7, 7, 0 0 3
32.7, 100, 1 1 2
37.2, 8, 0 0 4
38.3, 44, 2 0 0
38.9, 10, 1 1 3
46.4, 13, 1 1 4
54.4, 10, 2 0 4
55.3, 16, 2 2 0
65.7, 28, 3 1 2

Atomic structure:
Unit cell a=4.7025 b=4.7025 c=9.6715 alpha=90.00 beta=90.00 gamma=90.00
Space group P4mm (No. 99)
Unique sites:
Pr (0.0000, 0.0000, 0.0000)
Nd (0.5000, 0.5000, 0.4542)
Bi (0.0000, 0.0000, 0.3978)
Bi (0.0000, 0.5000, 0.7262)
Bi (0.5000, 0.5000, 0.0598)
Pt (0.0000, 0.5000, 0.2292)

No. 12
Starting from the GGA-PBE geometry in OQMD, the X-ray diffraction stick pattern of Nd3Bi2S was calculated for Cu Kα (weighted mean of Kα1 and Kα2).

Top 10 peaks for 2θ = 15–90°, sorted by position:
two_theta, I/Imax, (hkl)
24.6, 11, 1 0 1
28.5, 100, 1 0 2
34.1, 12, 0 1 3
40.8, 71, 1 1 0
50.5, 21, 0 2 2
59.0, 11, 2 0 4
59.7, 9, 1 1 5
66.8, 12, 1 1 6
66.9, 18, 2 1 2
74.3, 18, 3 0 0

Atomic structure:
Unit cell a=4.4217 b=4.4217 c=10.8676 alpha=90.00 beta=90.00 gamma=120.00
Space group P-3m1 (No. 164)
Unique sites:
Nd (0.0000, 0.0000, 0.0000)
Nd (0.3333, 0.6667, 0.3594)
Bi (0.3333, 0.6667, 0.8213)
S (0.0000, 0.0000, 0.5000)

What is the formula in the eighth record? Nd3PaBi5